Starting from a cell relaxed with GGA-PBE, the powder diffraction line list of BaSrCdBiP was calculated for λ = 1.5418 Å (Cu Kα).
Neutral-atom scattering factors, no anomalous dispersion.

Crystal structure
```
data_BaSrCdBiP
_cell_length_a 9.0066
_cell_length_b 9.0066
_cell_length_c 8.1700
_cell_angle_alpha 90.00
_cell_angle_beta 90.00
_cell_angle_gamma 150.00
_symmetry_space_group_name_H-M 'P 1'
_symmetry_Int_Tables_number 1
loop_
_symmetry_equiv_pos_as_xyz
'x,y,z'
loop_
_atom_site_label
_atom_site_fract_x
_atom_site_fract_y
_atom_site_fract_z
Ba1 0.2261 0.7739 0.5000
Ba2 0.7739 0.2261 0.0000
Sr1 0.0325 0.9675 0.1045
Sr2 0.9675 0.0325 0.6045
Cd1 0.4071 0.5929 0.2746
Cd2 0.5929 0.4071 0.7746
Bi1 0.4235 0.5765 0.8946
Bi2 0.5765 0.4235 0.3946
P1 0.1613 0.8387 0.8639
P2 0.8387 0.1613 0.3639
```

Peak list (10 most intense, 2θ = 15–90°, most intense first)
d (Å)	Position (°2θ)	I (rel.)
3.320	26.85	100
3.026	29.52	70
2.789	32.10	58
2.331	38.63	54
2.307	39.05	33
4.504	19.71	26
2.978	30.01	26
2.179	41.44	23
2.599	34.51	21
2.900	30.83	20